# 1
Calculated XRD peak list
Compound: LaTb3Pm7
Radiation: copper Kα
Structure: the GGA-PBE geometry in Alexandria
Kinematic intensities with the Lorentz-polarization factor, no thermal factor.

Most intense lines, 5° ≤ 2θ ≤ 70°, low angle first:
- d = 3.213 Å, 27.76 deg, I 10.6, (2 2 1)
- d = 2.950 Å, 30.29 deg, I 100.0, (2 0 -2)
- d = 2.876 Å, 31.09 deg, I 63.8, (1 3 1)
- d = 2.713 Å, 33.02 deg, I 37.3, (2 0 2)
- d = 2.441 Å, 36.81 deg, I 44.3, (3 3 -1)
- d = 1.817 Å, 50.22 deg, I 15.5, (1 3 -3)
- d = 1.812 Å, 50.35 deg, I 15.3, (5 3 1)
- d = 1.758 Å, 52.03 deg, I 11.3, (6 0 -2)
- d = 1.472 Å, 63.18 deg, I 17.5, (2 6 -2)
- d = 1.470 Å, 63.26 deg, I 11.7, (4 6 0)

Crystal structure
```
data_LaTb3Pm7
_chemical_formula_sum 'La2 Tb6 Pm14'
_cell_length_a 11.844
_cell_length_b 10.177
_cell_length_c 6.475
_cell_angle_alpha 90.00
_cell_angle_beta 95.82
_cell_angle_gamma 90.00
_symmetry_space_group_name_H-M 'C 1 2/m 1'
_symmetry_Int_Tables_number 12
loop_
_symmetry_equiv_pos_as_xyz
'x,y,z'
'-x,-y,-z'
'-x,y,-z'
'x,-y,z'
'x+1/2,y+1/2,z'
'-x+1/2,-y+1/2,-z'
'-x+1/2,y+1/2,-z'
'x+1/2,-y+1/2,z'
loop_
_atom_site_label
_atom_site_fract_x
_atom_site_fract_y
_atom_site_fract_z
La1 0.000 0.000 0.000
Tb1 0.000 0.330 0.500
Tb2 0.000 0.500 0.000
Pm1 0.000 0.000 0.500
Pm2 0.235 0.500 0.710
Pm3 0.249 0.325 0.241
```



# 2
Calculated XRD peak list
Compound: KSm2Br2F5
Radiation: copper Kα
Structure: the GGA-PBE geometry in Alexandria
Kinematic intensities with the Lorentz-polarization factor, no thermal factor.

Most intense lines, 5° ≤ 2θ ≤ 70°, low angle first:
- d = 7.293 Å, 12.14 deg, I 98.6, (1 1 0)
- d = 4.612 Å, 19.24 deg, I 43.0, (2 1 0)
- d = 3.579 Å, 24.88 deg, I 63.4, (0 0 1)
- d = 3.261 Å, 27.35 deg, I 75.5, (3 1 0)
- d = 2.860 Å, 31.27 deg, I 23.5, (3 2 0)
- d = 2.578 Å, 34.79 deg, I 28.2, (4 0 0)
- d = 2.431 Å, 36.98 deg, I 26.6, (3 3 0)
- d = 2.411 Å, 37.30 deg, I 100.0, (3 1 1)
- d = 2.235 Å, 40.36 deg, I 50.9, (3 2 1)
- d = 2.092 Å, 43.25 deg, I 50.6, (4 0 1)

Crystal structure
```
data_KSm2Br2F5
_chemical_formula_sum 'K2 Sm4 Br4 F10'
_cell_length_a 10.314
_cell_length_b 10.314
_cell_length_c 3.579
_cell_angle_alpha 90.00
_cell_angle_beta 90.00
_cell_angle_gamma 90.00
_symmetry_space_group_name_H-M 'P 4/m b m'
_symmetry_Int_Tables_number 127
_symmetry_space_group_name_Hall '-P 4 2ab'
loop_
_atom_site_label
_atom_site_fract_x
_atom_site_fract_y
_atom_site_fract_z
K1 0.000 0.000 0.000
Sm1 0.128 0.372 0.000
Br1 0.168 0.668 0.000
F1 0.000 0.500 0.500
F2 0.078 0.236 0.500
```